This entry pairs a crystal structure of Li2Mn2Si2O7 with its theoretical X-ray powder pattern. Radiation: λ = 1.5418 Å (Cu Kα). Structure: DFT lattice parameters and positions (PBE+U).
Kinematic intensities with the Lorentz-polarization factor, no thermal factor.

Structure:
Cell: 13.369 5.010 5.010 Å, 118.79 90.00 90.00°
Fractional coordinates of all 26 atoms:
Li: 0.082 0.204 0.796
Li: 0.418 0.204 0.796
Li: 0.582 0.796 0.204
Li: 0.918 0.796 0.204
Mn: 0.000 0.478 0.478
Mn: 0.250 0.487 0.452
Mn: 0.500 0.478 0.478
Mn: 0.750 0.452 0.487
Si: 0.137 0.854 0.141
Si: 0.363 0.854 0.141
Si: 0.637 0.141 0.854
Si: 0.863 0.141 0.854
O: 0.057 0.833 0.372
O: 0.129 0.190 0.158
O: 0.134 0.580 0.787
O: 0.250 0.832 0.286
O: 0.366 0.580 0.787
O: 0.371 0.190 0.158
O: 0.443 0.833 0.372
O: 0.557 0.372 0.833
O: 0.629 0.158 0.190
O: 0.634 0.787 0.580
O: 0.750 0.286 0.832
O: 0.866 0.787 0.580
O: 0.871 0.158 0.190
O: 0.943 0.372 0.833

The 8 most intense peaks (2θ from 15° to 90°), in order of falling intensity:
2θ (°), I (rel.)
33.70, 100.0
35.86, 46.7
21.30, 45.6
20.22, 41.8
49.69, 32.9
20.60, 27.0
35.18, 26.4
21.65, 18.9

This entry pairs a crystal structure of Li2Mn5Si5O16 with its theoretical X-ray powder pattern. Radiation: λ = 1.5418 Å (Cu Kα). Structure: DFT lattice parameters and positions (PBE+U).
Kinematic intensities with the Lorentz-polarization factor, no thermal factor.

Structure:
Cell: 5.140 7.066 10.495 Å, 89.17 89.87 89.81°
Fractional coordinates of all 28 atoms:
Li: 0.000 0.000 0.000
Li: 0.465 0.496 0.807
Mn: 0.323 0.493 0.322
Mn: 0.336 0.992 0.306
Mn: 0.478 0.995 0.816
Mn: 0.824 0.508 0.522
Mn: 0.833 0.017 0.513
Si: 0.326 0.752 0.575
Si: 0.439 0.727 0.066
Si: 0.822 0.265 0.249
Si: 0.945 0.487 0.999
Si: 0.987 0.240 0.770
O: 0.007 0.761 0.554
O: 0.250 0.557 0.004
O: 0.299 0.255 0.781
O: 0.366 0.929 0.003
O: 0.398 0.735 0.219
O: 0.420 0.744 0.722
O: 0.428 0.557 0.504
O: 0.443 0.941 0.497
O: 0.505 0.251 0.257
O: 0.749 0.664 0.036
O: 0.864 0.428 0.854
O: 0.871 0.050 0.836
O: 0.877 0.260 0.622
O: 0.913 0.300 0.095
O: 0.924 0.447 0.330
O: 0.942 0.069 0.309

The 8 most intense peaks (2θ from 15° to 90°), in order of falling intensity:
2θ (°), I (rel.)
21.39, 100.0
34.93, 92.5
34.18, 72.8
20.94, 51.3
24.24, 49.2
21.24, 46.0
30.72, 39.2
30.93, 26.7

This entry pairs a crystal structure of Li5Mn17Si2O32 with its theoretical X-ray powder pattern. Radiation: λ = 1.5418 Å (Cu Kα). Structure: DFT lattice parameters and positions (PBE+U).
Kinematic intensities with the Lorentz-polarization factor, no thermal factor.

Structure:
Cell: 8.349 8.429 8.634 Å, 90.34 90.05 90.64°
Fractional coordinates of all 56 atoms:
Li: 0.000 0.000 0.000
Li: 0.002 0.490 0.502
Li: 0.507 0.495 0.998
Li: 0.512 0.003 0.508
Li: 0.751 0.255 0.244
Mn: 0.123 0.366 0.122
Mn: 0.126 0.628 0.871
Mn: 0.130 0.131 0.373
Mn: 0.131 0.875 0.625
Mn: 0.254 0.253 0.758
Mn: 0.255 0.755 0.246
Mn: 0.379 0.375 0.373
Mn: 0.379 0.625 0.634
Mn: 0.382 0.126 0.125
Mn: 0.389 0.880 0.864
Mn: 0.631 0.380 0.635
Mn: 0.632 0.623 0.374
Mn: 0.636 0.878 0.118
Mn: 0.763 0.754 0.752
Mn: 0.871 0.623 0.122
Mn: 0.878 0.880 0.374
Mn: 0.881 0.138 0.624
Si: 0.641 0.131 0.879
Si: 0.868 0.369 0.887
O: 0.091 0.376 0.893
O: 0.108 0.629 0.098
O: 0.112 0.138 0.599
O: 0.119 0.894 0.393
O: 0.128 0.868 0.848
O: 0.141 0.360 0.355
O: 0.149 0.112 0.151
O: 0.149 0.616 0.646
O: 0.356 0.357 0.117
O: 0.363 0.143 0.378
O: 0.369 0.855 0.633
O: 0.380 0.646 0.855
O: 0.386 0.615 0.398
O: 0.395 0.399 0.630
O: 0.399 0.888 0.100
O: 0.420 0.114 0.865
O: 0.611 0.393 0.382
O: 0.611 0.611 0.627
O: 0.619 0.116 0.092
O: 0.642 0.646 0.120
O: 0.644 0.923 0.870
O: 0.649 0.146 0.660
O: 0.650 0.857 0.377
O: 0.652 0.346 0.888
O: 0.859 0.156 0.884
O: 0.867 0.618 0.345
O: 0.868 0.376 0.674
O: 0.869 0.855 0.138
O: 0.871 0.587 0.892
O: 0.885 0.389 0.098
O: 0.896 0.894 0.609
O: 0.902 0.128 0.378

The 8 most intense peaks (2θ from 15° to 90°), in order of falling intensity:
2θ (°), I (rel.)
18.22, 100.0
18.07, 87.7
41.85, 43.2
42.92, 40.4
34.71, 39.8
43.35, 39.5
61.76, 39.1
34.59, 37.2

This entry pairs a crystal structure of Li2Mn2Si2O7 with its theoretical X-ray powder pattern. Radiation: λ = 1.5418 Å (Cu Kα). Structure: DFT lattice parameters and positions (PBE+U).
Kinematic intensities with the Lorentz-polarization factor, no thermal factor.

Structure:
Cell: 13.451 5.441 5.441 Å, 124.23 90.00 90.00°
Fractional coordinates of all 26 atoms:
Li: 0.000 0.000 0.000
Li: 0.250 0.033 0.010
Li: 0.500 0.000 0.000
Li: 0.750 0.010 0.033
Mn: 0.088 0.673 0.233
Mn: 0.412 0.673 0.233
Mn: 0.588 0.233 0.673
Mn: 0.912 0.233 0.673
Si: 0.138 0.348 0.575
Si: 0.362 0.348 0.575
Si: 0.638 0.575 0.348
Si: 0.862 0.575 0.348
O: 0.061 0.112 0.572
O: 0.123 0.687 0.869
O: 0.133 0.331 0.263
O: 0.250 0.213 0.582
O: 0.367 0.331 0.263
O: 0.377 0.687 0.869
O: 0.439 0.112 0.572
O: 0.561 0.572 0.112
O: 0.623 0.869 0.687
O: 0.633 0.263 0.331
O: 0.750 0.582 0.213
O: 0.867 0.263 0.331
O: 0.877 0.869 0.687
O: 0.939 0.572 0.112

The 8 most intense peaks (2θ from 15° to 90°), in order of falling intensity:
2θ (°), I (rel.)
28.10, 100.0
26.51, 94.0
19.73, 79.5
18.45, 63.2
35.27, 56.2
38.80, 47.0
33.02, 46.9
44.61, 45.0